LuV3: computed X-ray powder pattern (Cu Kα (weighted mean of Kα1 and Kα2)), based on a PBE-relaxed structure.

Crystal structure
```
data_LuV3
_chemical_formula_sum 'Lu1 V3'
_space_group_name_H-M_alt 'P m m 2'
_space_group_IT_number 25
_space_group_name_Hall 'P 2 -2'
_cell_length_a 3.293
_cell_length_b 4.312
_cell_length_c 4.851
_cell_angle_alpha 90.00
_cell_angle_beta 90.00
_cell_angle_gamma 90.00
loop_
_atom_site_label
_atom_site_type_symbol
_atom_site_fract_x
_atom_site_fract_y
_atom_site_fract_z
Lu1 Lu 0.000 0.000 0.000
V1 V 0.000 0.500 0.551
V2 V 0.500 0.000 0.491
V3 V 0.500 0.500 0.169
```

The 10 most intense peaks (2θ from 5° to 70°), low angle first:
- d 4.851, intensity 19.2, hkl 0 0 1
- d 4.312, intensity 20.7, hkl 0 1 0
- d 3.223, intensity 30.3, hkl 0 1 1
- d 2.724, intensity 23.8, hkl 1 0 1
- d 2.617, intensity 12.0, hkl 1 1 0
- d 2.425, intensity 19.5, hkl 0 0 2
- d 2.303, intensity 100.0, hkl 1 1 1
- d 2.156, intensity 23.7, hkl 0 2 0
- d 2.114, intensity 21.4, hkl 0 1 2
- d 1.953, intensity 12.3, hkl 1 0 2

Dy3Ho4Er8: computed X-ray powder pattern (Cu Kα (weighted mean of Kα1 and Kα2)), based on a PBE-relaxed structure.

Crystal structure
```
data_Dy3Ho4Er8
_chemical_formula_sum 'Dy9 Ho12 Er24'
_space_group_name_H-M_alt 'R -3 m'
_space_group_IT_number 166
_space_group_name_Hall '-R 3 2"'
_cell_length_a 6.8497
_cell_length_b 6.8497
_cell_length_c 34.8152
_cell_angle_alpha 90.00
_cell_angle_beta 90.00
_cell_angle_gamma 120.00
loop_
_atom_site_label
_atom_site_type_symbol
_atom_site_fract_x
_atom_site_fract_y
_atom_site_fract_z
Dy1 Dy 0.0000 0.5000 0.0000
Ho1 Ho 0.0000 0.0000 0.0000
Ho2 Ho 0.0000 0.0000 0.1636
Ho3 Ho 0.0000 0.0000 0.5000
Er1 Er 0.0000 0.0000 0.2548
Er2 Er 0.0015 0.5008 0.2502
```

The 10 most intense peaks (2θ from 5° to 70°), low angle first:
- d 3.285, intensity 16.7, hkl 1 1 3
- d 2.952, intensity 27.1, hkl 0 2 1
- d 2.901, intensity 56.7, hkl 0 0 12
- d 2.807, intensity 100.0, hkl 0 2 4
- d 2.451, intensity 73.1, hkl 2 0 8
- d 1.754, intensity 23.0, hkl 0 2 16
- d 1.712, intensity 37.3, hkl 2 2 0
- d 1.501, intensity 16.5, hkl 2 0 20
- d 1.475, intensity 44.5, hkl 2 2 12
- d 1.462, intensity 13.9, hkl 4 0 4

AcPm3Ho3: computed X-ray powder pattern (Cu Kα (weighted mean of Kα1 and Kα2)), based on a PBE-relaxed structure.

Crystal structure
```
data_AcPm3Ho3
_chemical_formula_sum 'Ac8 Pm24 Ho24'
_space_group_name_H-M_alt 'C 1 m 1'
_space_group_IT_number 8
_space_group_name_Hall 'C -2y'
_cell_length_a 16.379
_cell_length_b 17.186
_cell_length_c 7.137
_cell_angle_alpha 90.00
_cell_angle_beta 101.64
_cell_angle_gamma 90.00
loop_
_atom_site_label
_atom_site_type_symbol
_atom_site_fract_x
_atom_site_fract_y
_atom_site_fract_z
Ac1 Ac 0.000 0.000 0.000
Ac2 Ac 0.151 0.345 0.829
Ac3 Ac 0.300 0.500 0.667
Pm1 Pm 0.004 0.000 0.503
Pm2 Pm 0.144 0.309 0.321
Pm3 Pm 0.154 0.107 0.332
Pm4 Pm 0.309 0.000 0.157
Pm5 Pm 0.316 0.208 0.156
Pm6 Pm 0.458 0.102 0.967
Pm7 Pm 0.492 0.298 0.512
Ho1 Ho 0.132 0.500 0.233
Ho2 Ho 0.159 0.112 0.830
Ho3 Ho 0.308 0.000 0.648
Ho4 Ho 0.315 0.220 0.651
Ho5 Ho 0.329 0.403 0.212
Ho6 Ho 0.468 0.099 0.464
Ho7 Ho 0.486 0.297 0.010
```

The 10 most intense peaks (2θ from 5° to 70°), low angle first:
- d 3.471, intensity 19.6, hkl 2 4 -1
- d 2.991, intensity 74.6, hkl 2 0 2
- d 2.946, intensity 81.2, hkl 4 0 -2
- d 2.932, intensity 27.0, hkl 4 4 0
- d 2.891, intensity 100.0, hkl 3 5 0
- d 2.711, intensity 20.3, hkl 0 4 2
- d 2.674, intensity 54.6, hkl 6 0 0
- d 2.475, intensity 62.8, hkl 1 5 -2
- d 1.827, intensity 19.2, hkl 5 5 2
- d 1.806, intensity 24.4, hkl 7 5 -2

Zr6HgBi: computed X-ray powder pattern (Cu Kα (weighted mean of Kα1 and Kα2)), based on a PBE-relaxed structure.

Crystal structure
```
data_Zr6HgBi
_chemical_formula_sum 'Zr6 Hg1 Bi1'
_space_group_name_H-M_alt 'P 4/m m m'
_space_group_IT_number 123
_space_group_name_Hall '-P 4 2'
_cell_length_a 4.510
_cell_length_b 4.510
_cell_length_c 8.866
_cell_angle_alpha 90.00
_cell_angle_beta 90.00
_cell_angle_gamma 90.00
loop_
_atom_site_label
_atom_site_type_symbol
_atom_site_fract_x
_atom_site_fract_y
_atom_site_fract_z
Zr1 Zr 0.000 0.000 0.000
Zr2 Zr 0.000 0.000 0.500
Zr3 Zr 0.000 0.500 0.246
Hg1 Hg 0.500 0.500 0.000
Bi1 Bi 0.500 0.500 0.500
```

The 10 most intense peaks (2θ from 5° to 70°), low angle first:
- d 4.510, intensity 9.7, hkl 1 0 0
- d 4.433, intensity 4.7, hkl 0 0 2
- d 3.189, intensity 4.4, hkl 1 1 0
- d 3.161, intensity 8.6, hkl 1 0 2
- d 2.589, intensity 100.0, hkl 1 1 2
- d 2.255, intensity 33.7, hkl 2 0 0
- d 2.217, intensity 16.0, hkl 0 0 4
- d 1.594, intensity 11.3, hkl 2 2 0
- d 1.581, intensity 21.9, hkl 2 0 4
- d 1.358, intensity 26.3, hkl 3 1 2